Ni15O16: computed X-ray diffraction stick pattern (copper Kα), based on a structure optimized by DFT (PBE+U).
Kinematic intensities with the Lorentz-polarization factor, no thermal factor.

Most intense lines, 10 to 80 degrees two-theta, sorted by position:
(hkl)  two_theta  intensity
0 2 4  37.06  71
2 0 8  43.05  100
2 2 0  62.52  57
4 0 4  74.94  20
2 0 20  75.04  7
0 4 8  78.88  13

Crystal structure
```
data_Ni15O16
_chemical_formula_sum 'Ni45 O48'
_cell_length_a 5.9465
_cell_length_b 5.9465
_cell_length_c 29.0698
_cell_angle_alpha 90.00
_cell_angle_beta 90.00
_cell_angle_gamma 120.00
_space_group_name_H-M_alt 'R -3 m'
_space_group_IT_number 166
_space_group_name_Hall '-R 3 2"'
loop_
_atom_site_label
_atom_site_type_symbol
_atom_site_fract_x
_atom_site_fract_y
_atom_site_fract_z
_atom_site_occupancy
Ni1 Ni 0.0000 0.0000 0.0000 1
Ni2 Ni 0.0000 0.0000 0.2502 1
Ni3 Ni 0.0000 0.5000 0.0000 1
Ni4 Ni 0.0000 0.5000 0.5000 1
Ni5 Ni 0.0063 0.5031 0.2476 1
O1 O 0.0000 0.0000 0.1250 1
O2 O 0.0000 0.0000 0.3750 1
O3 O 0.0017 0.5008 0.6251 1
O4 O 0.0193 0.5097 0.8772 1
```

---

NiO2: computed X-ray diffraction stick pattern (copper Kα), based on a structure optimized by DFT (PBE+U).
Kinematic intensities with the Lorentz-polarization factor, no thermal factor.

Most intense lines, 10 to 80 degrees two-theta, sorted by position:
(hkl)  two_theta  intensity
0 0 3  18.51  100
1 0 1  37.62  31
1 0 4  45.10  41
1 0 7  58.92  14
1 1 0  66.83  11
1 1 3  70.02  12

Crystal structure
```
data_NiO2
_chemical_formula_sum 'Ni3 O6'
_cell_length_a 2.7998
_cell_length_b 2.7998
_cell_length_c 14.3834
_cell_angle_alpha 90.00
_cell_angle_beta 90.00
_cell_angle_gamma 120.00
_space_group_name_H-M_alt 'R -3 m'
_space_group_IT_number 166
_space_group_name_Hall '-R 3 2"'
loop_
_atom_site_label
_atom_site_type_symbol
_atom_site_fract_x
_atom_site_fract_y
_atom_site_fract_z
_atom_site_occupancy
Ni1 Ni 0.0000 0.0000 0.0000 1
O1 O 0.0000 0.0000 0.2680 1
```

---

NiO2: computed X-ray diffraction stick pattern (copper Kα), based on a structure optimized by DFT (PBE+U).
Kinematic intensities with the Lorentz-polarization factor, no thermal factor.

Most intense lines, 10 to 80 degrees two-theta, sorted by position:
(hkl)  two_theta  intensity
0 0 2  19.36  100
0 2 1  21.41  76
1 1 0  33.14  52
0 2 3  35.12  70
1 3 0  43.31  44
1 3 2  47.85  39

Crystal structure
```
data_NiO2
_chemical_formula_sum 'Ni8 O16'
_cell_length_a 2.825
_cell_length_b 9.310
_cell_length_c 9.170
_cell_angle_alpha 90.00
_cell_angle_beta 90.00
_cell_angle_gamma 90.00
_space_group_name_H-M_alt 'C m c m'
_space_group_IT_number 63
_space_group_name_Hall '-C 2c 2'
loop_
_atom_site_label
_atom_site_type_symbol
_atom_site_fract_x
_atom_site_fract_y
_atom_site_fract_z
_atom_site_occupancy
Ni1 Ni 0.000 0.134 0.071 1
O1 O 0.000 0.045 0.250 1
O2 O 0.000 0.236 0.611 1
O3 O 0.000 0.500 0.000 1
```